1.
# Tl8Te5
Simulated X-ray diffraction stick pattern, copper Kα. Input: DFT lattice parameters and positions (GGA-PBE).

Largest 10 diffraction maxima, by angle, 10° ≤ 2θ ≤ 90°:
2θ/deg  I/Imax
12.07  508
21.73  376
24.40  557
28.33  1000
29.82  240
31.82  347
36.40  225
36.82  271
38.62  351
41.80  238

Structural model:
Cell: 9.538 9.538 8.595 Å, 116.53 116.53 62.34°
Atoms (fractional coordinates):
Tl1 0.078 0.672 0.681
Tl2 0.134 0.134 0.782
Tl3 0.328 0.922 0.319
Tl4 0.348 0.348 0.296
Tl5 0.652 0.652 0.704
Tl6 0.672 0.078 0.681
Tl7 0.866 0.866 0.218
Tl8 0.922 0.328 0.319
Te1 0.000 0.000 0.000
Te2 0.248 0.752 0.500
Te3 0.289 0.289 0.616
Te4 0.711 0.711 0.384
Te5 0.752 0.248 0.500

***

2.
# K3Sn2Br8
Simulated X-ray diffraction stick pattern, copper Kα. Input: DFT lattice parameters and positions (GGA-PBE).

Largest 10 diffraction maxima, by angle, 10° ≤ 2θ ≤ 90°:
2θ/deg  I/Imax
11.33  1000
15.96  606
25.32  841
26.27  775
29.84  386
31.89  580
32.92  449
35.22  519
39.66  380
39.91  481

Structural model:
Cell: 8.571 8.571 7.839 Å, 94.17 94.17 64.05°
Atoms (fractional coordinates):
K1 0.000 0.000 0.000
K2 0.251 0.749 0.500
K3 0.749 0.251 0.500
Sn1 0.271 0.271 0.992
Sn2 0.729 0.729 0.008
Br1 0.049 0.617 0.829
Br2 0.131 0.131 0.695
Br3 0.383 0.951 0.171
Br4 0.427 0.427 0.226
Br5 0.573 0.573 0.774
Br6 0.617 0.049 0.829
Br7 0.869 0.869 0.305
Br8 0.951 0.383 0.171

***

3.
# PmSmCo4
Simulated X-ray diffraction stick pattern, copper Kα. Input: DFT lattice parameters and positions (GGA-PBE).

Largest 10 diffraction maxima, by angle, 10° ≤ 2θ ≤ 90°:
2θ/deg  I/Imax
26.49  160
34.29  1000
43.55  142
46.77  344
51.70  55
59.26  200
65.81  238
73.99  102
78.70  172
86.90  37

Structural model:
Cell: 5.690 5.690 5.690 Å, 140.11 107.46 86.15°
Atoms (fractional coordinates):
Pm1 0.000 0.000 0.000
Sm1 0.500 0.500 0.000
Co1 0.084 0.750 0.333
Co2 0.417 0.750 0.667
Co3 0.583 0.250 0.333
Co4 0.916 0.250 0.667